NaUI4: theoretical powder diffraction line list (Cu Ka), based on a PBE-relaxed structure.

Structure:
a = 7.582 Å, b = 7.582 Å, c = 7.582 Å
α = 113.06°, β = 113.06°, γ = 102.52°
Fractional coordinates of all 6 atoms:
Na  0.000  0.000  0.000
U  0.750  0.250  0.500
I  0.128  0.624  0.941
I  0.376  0.317  0.505
I  0.683  0.188  0.059
I  0.812  0.872  0.495

Most intense lines, 10 to 90 degrees two-theta, in order of rising 2θ:
d [Å], I/Imax
6.275, 98.6
3.701, 100.0
3.480, 35.4
3.137, 35.5
2.957, 54.4
2.310, 47.8
2.253, 30.0
2.091, 34.4

Sn: theoretical powder diffraction line list (Cu Ka), based on a PBE-relaxed structure.

Structure:
a = 8.470 Å, b = 8.470 Å, c = 8.470 Å
α = 92.19°, β = 92.19°, γ = 157.44°
Fractional coordinates of all 8 atoms:
Sn  0.118  0.626  0.743
Sn  0.361  0.380  0.742
Sn  0.374  0.118  0.492
Sn  0.380  0.639  0.019
Sn  0.620  0.361  0.981
Sn  0.626  0.882  0.508
Sn  0.639  0.620  0.258
Sn  0.882  0.374  0.257

Most intense lines, 10 to 90 degrees two-theta, in order of rising 2θ:
d [Å], I/Imax
3.189, 29.0
2.937, 100.0
2.803, 38.5
2.530, 22.7
2.323, 42.3
2.077, 36.7
1.917, 23.3
1.443, 24.7

TbSm2Si3Pt4: theoretical powder diffraction line list (Cu Ka), based on a PBE-relaxed structure.

Structure:
a = 4.254 Å, b = 4.254 Å, c = 10.880 Å
α = 90.00°, β = 90.00°, γ = 90.00°
Fractional coordinates of all 10 atoms:
Tb  0.000  0.000  0.000
Sm  0.000  0.500  0.725
Sm  0.500  0.000  0.275
Si  0.000  0.500  0.381
Si  0.500  0.000  0.619
Si  0.500  0.500  0.000
Pt  0.000  0.000  0.500
Pt  0.000  0.500  0.163
Pt  0.500  0.000  0.837
Pt  0.500  0.500  0.500

Most intense lines, 10 to 90 degrees two-theta, in order of rising 2θ:
d [Å], I/Imax
3.351, 28.4
2.632, 100.0
2.292, 17.2
2.127, 44.5
2.018, 16.5
1.937, 14.4
1.504, 14.9
1.306, 22.8

GdAl2Ru: theoretical powder diffraction line list (Cu Ka), based on a PBE-relaxed structure.

Structure:
a = 3.142 Å, b = 3.142 Å, c = 7.332 Å
α = 90.00°, β = 90.00°, γ = 90.00°
Fractional coordinates of all 4 atoms:
Gd  0.000  0.000  0.000
Al  0.500  0.500  0.315
Al  0.500  0.500  0.685
Ru  0.000  0.000  0.500

Most intense lines, 10 to 90 degrees two-theta, in order of rising 2θ:
d [Å], I/Imax
3.666, 44.1
3.142, 50.6
2.385, 100.0
2.221, 45.3
1.900, 28.5
1.583, 21.9
1.571, 15.1
1.312, 29.5

Nb2Ir2Ru7: theoretical powder diffraction line list (Cu Ka), based on a PBE-relaxed structure.

Structure:
a = 4.738 Å, b = 5.079 Å, c = 7.220 Å
α = 100.24°, β = 96.96°, γ = 95.25°
Fractional coordinates of all 11 atoms:
Nb  0.000  0.000  0.000
Nb  0.004  0.504  0.011
Ir  0.449  0.477  0.449
Ir  0.638  0.001  0.568
Ru  0.091  0.821  0.363
Ru  0.186  0.178  0.697
Ru  0.495  0.703  0.833
Ru  0.508  0.275  0.055
Ru  0.545  0.806  0.200
Ru  0.909  0.286  0.343
Ru  0.961  0.638  0.661

Most intense lines, 10 to 90 degrees two-theta, in order of rising 2θ:
d [Å], I/Imax
2.336, 58.2
2.240, 64.3
2.225, 100.0
2.214, 57.3
2.151, 85.3
2.142, 59.2
2.124, 82.7
2.084, 65.7

CsGa2SbH2: theoretical powder diffraction line list (Cu Ka), based on a PBE-relaxed structure.

Structure:
a = 7.495 Å, b = 6.232 Å, c = 7.760 Å
α = 90.00°, β = 113.55°, γ = 90.00°
Fractional coordinates of all 12 atoms:
Cs  0.184  0.250  0.330
Cs  0.816  0.750  0.670
Ga  0.323  0.000  0.805
Ga  0.323  0.500  0.805
Ga  0.677  0.000  0.195
Ga  0.677  0.500  0.195
Sb  0.340  0.750  0.114
Sb  0.660  0.250  0.886
H  0.176  0.250  0.745
H  0.297  0.750  0.667
H  0.703  0.250  0.333
H  0.824  0.750  0.255

Most intense lines, 10 to 90 degrees two-theta, in order of rising 2θ:
d [Å], I/Imax
4.457, 100.0
3.435, 29.1
3.089, 43.6
3.008, 32.9
2.799, 36.6
2.582, 21.2
2.498, 54.4
2.228, 27.9

Nd5ScSe6: theoretical powder diffraction line list (Cu Ka), based on a PBE-relaxed structure.

Structure:
a = 7.232 Å, b = 7.232 Å, c = 7.244 Å
α = 99.58°, β = 99.58°, γ = 120.13°
Fractional coordinates of all 12 atoms:
Nd  0.000  0.000  0.000
Nd  0.166  0.834  0.500
Nd  0.324  0.676  0.000
Nd  0.676  0.324  0.000
Nd  0.834  0.166  0.500
Sc  0.500  0.500  0.500
Se  0.106  0.422  0.263
Se  0.266  0.266  0.746
Se  0.422  0.106  0.263
Se  0.578  0.894  0.737
Se  0.734  0.734  0.254
Se  0.894  0.578  0.737

Most intense lines, 10 to 90 degrees two-theta, in order of rising 2θ:
d [Å], I/Imax
3.409, 10.6
2.953, 100.0
2.089, 48.7
2.085, 24.2
1.705, 12.5
1.476, 11.5
1.322, 15.7
1.319, 15.5

Np2UPbS8: theoretical powder diffraction line list (Cu Ka), based on a PBE-relaxed structure.

Structure:
a = 6.180 Å, b = 8.233 Å, c = 6.384 Å
α = 90.00°, β = 90.09°, γ = 90.00°
Fractional coordinates of all 12 atoms:
Np  0.000  0.248  0.000
Np  0.000  0.752  0.000
U  0.500  0.000  0.500
Pb  0.500  0.500  0.500
S  0.212  0.500  0.857
S  0.221  0.000  0.824
S  0.274  0.223  0.330
S  0.274  0.777  0.330
S  0.726  0.223  0.670
S  0.726  0.777  0.670
S  0.779  0.000  0.176
S  0.788  0.500  0.143

Most intense lines, 10 to 90 degrees two-theta, in order of rising 2θ:
d [Å], I/Imax
4.440, 100.0
3.460, 36.9
3.426, 45.2
2.335, 38.7
2.305, 45.5
2.220, 20.3
1.890, 15.7
1.867, 20.0

MgAg2I4: theoretical powder diffraction line list (Cu Ka), based on a PBE-relaxed structure.

Structure:
a = 6.587 Å, b = 6.587 Å, c = 6.273 Å
α = 90.00°, β = 90.00°, γ = 90.00°
Fractional coordinates of all 7 atoms:
Mg  0.000  0.000  0.000
Ag  0.000  0.500  0.500
Ag  0.500  0.000  0.500
I  0.253  0.253  0.233
I  0.253  0.747  0.767
I  0.747  0.253  0.767
I  0.747  0.747  0.233

Most intense lines, 10 to 90 degrees two-theta, in order of rising 2θ:
d [Å], I/Imax
3.739, 100.0
2.916, 10.8
2.329, 25.0
2.271, 45.1
1.977, 33.4
1.908, 13.9
1.476, 11.8
1.333, 15.8

ScTa: theoretical powder diffraction line list (Cu Ka), based on a PBE-relaxed structure.

Structure:
a = 2.982 Å, b = 4.852 Å, c = 5.645 Å
α = 90.00°, β = 92.54°, γ = 90.00°
Fractional coordinates of all 4 atoms:
Sc  0.011  0.250  0.349
Sc  0.989  0.750  0.651
Ta  0.442  0.750  0.126
Ta  0.558  0.250  0.874

Most intense lines, 10 to 90 degrees two-theta, in order of rising 2θ:
d [Å], I/Imax
5.640, 77.8
3.678, 48.4
2.979, 26.0
2.587, 44.2
2.438, 100.0
2.426, 50.3
2.348, 74.8
1.770, 28.3

TlIn4Br5: theoretical powder diffraction line list (Cu Ka), based on a PBE-relaxed structure.

Structure:
a = 12.521 Å, b = 12.521 Å, c = 12.521 Å
α = 158.19°, β = 148.98°, γ = 38.24°
Fractional coordinates of all 10 atoms:
Tl  0.000  0.000  0.000
In  0.201  0.201  0.000
In  0.400  0.400  0.000
In  0.600  0.600  0.000
In  0.799  0.799  0.000
Br  0.101  0.601  0.500
Br  0.301  0.801  0.500
Br  0.500  0.000  0.500
Br  0.699  0.199  0.500
Br  0.899  0.399  0.500

Most intense lines, 10 to 90 degrees two-theta, in order of rising 2θ:
d [Å], I/Imax
3.866, 10.3
3.348, 100.0
2.367, 77.2
1.933, 27.8
1.674, 13.1
1.497, 35.9
1.367, 26.3
1.116, 17.8

TbPr2Dy8: theoretical powder diffraction line list (Cu Ka), based on a PBE-relaxed structure.

Structure:
a = 6.189 Å, b = 6.192 Å, c = 9.464 Å
α = 90.04°, β = 96.34°, γ = 99.53°
Fractional coordinates of all 11 atoms:
Tb  0.000  0.000  0.000
Pr  0.362  0.727  0.454
Pr  0.638  0.273  0.546
Dy  0.088  0.181  0.361
Dy  0.183  0.362  0.731
Dy  0.272  0.546  0.090
Dy  0.456  0.907  0.821
Dy  0.544  0.093  0.179
Dy  0.728  0.454  0.910
Dy  0.817  0.638  0.269
Dy  0.912  0.819  0.639

Most intense lines, 10 to 90 degrees two-theta, in order of rising 2θ:
d [Å], I/Imax
2.922, 33.4
2.918, 100.0
2.528, 67.5
1.787, 40.1
1.525, 33.4
1.524, 23.8
1.159, 13.8
1.130, 16.6

Na5B7C3: theoretical powder diffraction line list (Cu Ka), based on a PBE-relaxed structure.

Structure:
a = 9.068 Å, b = 9.068 Å, c = 13.362 Å
α = 112.98°, β = 112.98°, γ = 17.98°
Fractional coordinates of all 30 atoms:
Na  0.000  0.000  0.000
Na  0.002  0.002  0.498
Na  0.198  0.198  0.401
Na  0.202  0.202  0.900
Na  0.400  0.400  0.801
Na  0.402  0.402  0.300
Na  0.599  0.599  0.201
Na  0.603  0.603  0.699
Na  0.798  0.798  0.602
Na  0.802  0.802  0.101
B  0.027  0.027  0.803
B  0.030  0.030  0.312
B  0.168  0.168  0.585
B  0.173  0.173  0.095
B  0.236  0.236  0.222
B  0.241  0.241  0.730
B  0.368  0.368  0.486
B  0.434  0.434  0.118
B  0.566  0.566  0.880
B  0.627  0.627  0.504
B  0.631  0.631  0.010
B  0.778  0.778  0.305
B  0.838  0.838  0.924
B  0.959  0.959  0.668
C  0.370  0.370  0.988
C  0.430  0.430  0.610
C  0.563  0.563  0.377
C  0.773  0.773  0.793
C  0.838  0.838  0.425
C  0.966  0.966  0.182

Most intense lines, 10 to 90 degrees two-theta, in order of rising 2θ:
d [Å], I/Imax
2.562, 8.1
2.479, 12.6
2.200, 36.3
2.146, 100.0
1.463, 12.4
1.239, 10.5
1.209, 11.9
1.191, 7.5